For Na3Li3Mn2P2C2O14, DFT lattice parameters and positions (GGA+U) gives the theoretical X-ray diffraction stick pattern in this record (Cu Kα (weighted mean of Kα1 and Kα2)).
Lines closer than 0.1° are merged.

Structural model:
Lattice parameters (Å, degrees): 5.198 6.774 8.905 98.60 90.77 91.69
Positions (direct):
1 Na 0.000 0.000 0.000
2 Na 0.055 0.315 0.330
3 Na 0.558 0.380 0.858
4 Li 0.103 0.760 0.388
5 Li 0.505 0.928 0.779
6 Li 0.622 0.692 0.189
7 Mn 0.094 0.607 0.726
8 Mn 0.519 0.068 0.437
9 P 0.017 0.094 0.659
10 P 0.598 0.585 0.509
11 C 0.090 0.607 0.063
12 C 0.525 0.066 0.123
13 O 0.106 0.048 0.491
14 O 0.118 0.933 0.751
15 O 0.124 0.299 0.737
16 O 0.301 0.087 0.182
17 O 0.334 0.601 0.043
18 O 0.497 0.740 0.410
19 O 0.499 0.377 0.436
20 O 0.504 0.637 0.677
21 O 0.571 0.086 0.984
22 O 0.714 0.019 0.211
23 O 0.715 0.091 0.657
24 O 0.899 0.594 0.514
25 O 0.933 0.632 0.950
26 O 0.986 0.595 0.194

Top 12 peaks for 2θ = 10–80°, most intense first:
10.05°, I = 100, hkl 0 0 1
26.63°, I = 90, hkl 0 2 0
34.53°, I = 54, hkl 2 0 0
26.30°, I = 36, hkl 1 0 -2
25.19°, I = 36, hkl 1 1 1
36.02°, I = 32, hkl 1 -1 3
34.84°, I = 30, hkl 1 0 -3
31.05°, I = 29, hkl 0 2 -2
19.69°, I = 27, hkl 1 0 -1
20.00°, I = 23, hkl 1 0 1
26.78°, I = 19, hkl 1 0 2
15.38°, I = 18, hkl 0 1 -1